Starting from a crystal structure in Alexandria, relaxed with GGA-PBE, the PXRD pattern of AcGe2PO8 was calculated for λ = 1.5418 Å (Cu Kα).
Neutral-atom scattering factors, no anomalous dispersion.

Largest 12 diffraction maxima, in order of falling intensity, 5 to 70 degrees two-theta:
d 3.314, intensity 100
d 2.355, intensity 41
d 4.015, intensity 30
d 3.036, intensity 27
d 2.332, intensity 24
d 1.920, intensity 22
d 2.249, intensity 19
d 2.526, intensity 18
d 1.488, intensity 18
d 1.722, intensity 17
d 7.578, intensity 15
d 1.476, intensity 13

```
AcGe2PO8
1.0
2.355 1.360 7.578
-2.355 1.360 7.578
0.000 -2.719 7.578
Ac Ge P O
1 2 1 8
Cartesian
0.000 0.000 0.000
0.000 0.000 5.301
0.000 0.000 17.432
0.000 0.000 11.366
-0.616 -1.206 10.219
-0.736 -1.136 12.514
0.000 0.000 7.058
-0.736 1.136 10.219
-0.616 1.206 12.514
0.000 0.000 15.674
1.352 0.070 10.219
1.352 -0.070 12.514
```